Diffraction record for PaBiHO5. The powder XRD pattern is calculated, not measured: it uses the PBE geometry in Alexandria and CuKα.

Principal peaks in the range 15° ≤ 2θ ≤ 90°, in order of falling intensity:
4.006 Å, 22.19°, I 100
3.035 Å, 29.43°, I 86
3.144 Å, 28.39°, I 67
2.838 Å, 31.53°, I 62
2.747 Å, 32.60°, I 54
5.250 Å, 16.89°, I 52
1.751 Å, 52.25°, I 49
2.207 Å, 40.88°, I 33

a = 8.379 Å, b = 9.539 Å, c = 7.156 Å
α = 90.00°, β = 110.11°, γ = 90.00°
Space group C2/c (No. 15)
Asymmetric unit:
Pa (0.000, 0.039, 0.250)
Bi (0.250, 0.250, 0.000)
H (0.000, 0.307, 0.250)
O (0.000, 0.197, 0.750)
O (0.112, 0.257, 0.207)
O (0.170, 0.013, 0.042)